Record 1
# GaAs
Computed powder XRD pattern, Cu Kα (λ = 1.5418 Å). Input: a crystal structure in the Materials Project, relaxed with PBE.
Neutral-atom scattering factors, no anomalous dispersion.

Atomic structure:
```
data_GaAs
_chemical_formula_sum 'Ga16 As16'
_symmetry_space_group_name_H-M 'C 1 m 1'
_symmetry_Int_Tables_number 8
_symmetry_space_group_name_Hall 'C -2y'
_cell_length_a 14.6900
_cell_length_b 11.0443
_cell_length_c 9.2955
_cell_angle_alpha 90.00
_cell_angle_beta 113.58
_cell_angle_gamma 90.00
loop_
_atom_site_label
_atom_site_fract_x
_atom_site_fract_y
_atom_site_fract_z
Ga1 0.0000 0.0000 0.0000
Ga2 0.0493 0.0000 0.5840
Ga3 0.1721 0.1645 0.3432
Ga4 0.2592 0.5000 0.5478
Ga5 0.3384 0.0000 0.0825
Ga6 0.4081 0.3591 0.2906
As1 0.0707 0.2039 0.4903
As2 0.1254 0.5000 0.6398
As3 0.1802 0.0000 0.1694
As4 0.2752 0.3331 0.3802
As5 0.3560 0.5000 0.0661
As6 0.4409 0.5000 0.7247
```

Principal peaks in the range 2θ from 10° to 90°, in order of falling intensity:
two_theta	I (rel.)	index
10.37	100	0 0 1
26.40	26	4 0 -2
26.15	15	1 3 -1
19.81	13	2 0 1
19.15	12	0 2 1
16.46	9	1 1 1
38.87	8	0 4 2
50.10	8	7 3 -2
43.51	8	5 3 -3
27.13	8	3 1 1

Record 2
# GaAs
Computed powder XRD pattern, Cu Kα (λ = 1.5418 Å). Input: a crystal structure in the Materials Project, relaxed with PBE.
Neutral-atom scattering factors, no anomalous dispersion.

Atomic structure:
```
data_GaAs
_chemical_formula_sum 'Ga1 As1'
_symmetry_space_group_name_H-M 'P 4/m m m'
_symmetry_Int_Tables_number 123
_symmetry_space_group_name_Hall '-P 4 2'
_cell_length_a 2.7150
_cell_length_b 2.7150
_cell_length_c 5.4639
_cell_angle_alpha 90.00
_cell_angle_beta 90.00
_cell_angle_gamma 90.00
loop_
_atom_site_label
_atom_site_fract_x
_atom_site_fract_y
_atom_site_fract_z
Ga1 0.0000 0.0000 0.0000
As1 0.0000 0.0000 0.5000
```

Principal peaks in the range 2θ from 10° to 90°, in order of falling intensity:
two_theta	I (rel.)	index
32.99	100	1 0 0
47.20	72	1 0 2
32.78	51	0 0 2
58.79	37	1 1 2
47.35	36	1 1 0
88.02	24	2 1 2
78.36	16	1 0 4
78.71	15	2 0 2
78.83	15	2 1 0
87.68	12	1 1 4

Record 3
# GaAs
Computed powder XRD pattern, Cu Kα (λ = 1.5418 Å). Input: a crystal structure in the Materials Project, relaxed with PBE.
Neutral-atom scattering factors, no anomalous dispersion.

Atomic structure:
```
data_GaAs
_chemical_formula_sum 'Ga2 As2'
_symmetry_space_group_name_H-M 'P 63 m c'
_symmetry_Int_Tables_number 186
_symmetry_space_group_name_Hall 'P 6c -2c'
_cell_length_a 4.0535
_cell_length_b 4.0535
_cell_length_c 6.6796
_cell_angle_alpha 90.00
_cell_angle_beta 90.00
_cell_angle_gamma 120.00
loop_
_atom_site_label
_atom_site_fract_x
_atom_site_fract_y
_atom_site_fract_z
Ga1 0.3333 0.6667 0.0000
As1 0.3333 0.6667 0.3740
```

Principal peaks in the range 2θ from 10° to 90°, in order of falling intensity:
two_theta	I (rel.)	index
25.37	100	1 0 0
48.41	87	1 0 3
44.71	86	1 1 0
28.73	65	1 0 1
26.69	58	0 0 2
52.84	51	1 1 2
37.16	36	1 0 2
85.12	33	2 1 3
68.01	31	2 0 3
76.26	22	1 0 5